(1)
Starting from the GGA-PBE geometry in Alexandria, the powder XRD pattern of Y4ErN4 was computed for CuKα.

Atomic structure:
```
Y4ErN4
1.0
-3.900 3.900 2.464
3.900 -3.900 2.464
3.900 3.900 -2.464
Y Er N
4 1 4
Cartesian
5.374 0.849 0.000
0.849 2.426 0.000
3.051 1.474 2.464
-1.474 3.051 2.464
0.000 0.000 2.464
3.137 1.597 0.000
2.304 -0.764 2.464
1.597 4.664 0.000
0.764 2.304 2.464
```

Largest 10 diffraction maxima, by angle, 2θ = 10–90°:
2θ/deg, d (Å), I/Imax
21.33, 4.166, 14
31.42, 2.847, 100
36.44, 2.466, 77
52.48, 1.744, 51
62.46, 1.487, 42
65.58, 1.424, 16
77.37, 1.233, 5
85.91, 1.131, 18
88.68, 1.103, 13
88.78, 1.102, 8

***

(2)
Starting from the GGA-PBE geometry in Alexandria, the powder XRD pattern of CsTaCu2Te4 was computed for CuKα.

Atomic structure:
```
CsTaCu2Te4
1.0
8.356 0.000 0.000
0.000 21.446 0.000
0.000 0.000 6.056
Cs Ta Cu Te
4 4 8 16
Cartesian
1.935 1.347 0.000
2.243 12.070 3.028
6.113 9.376 0.000
6.421 20.099 3.028
1.922 7.508 1.468
2.256 18.231 4.496
6.100 3.215 1.468
6.434 13.937 4.496
0.161 16.089 4.540
1.919 7.506 4.494
2.259 18.229 1.465
4.017 5.366 1.512
4.339 16.080 4.540
6.097 3.216 4.494
6.437 13.939 1.465
8.195 5.357 1.512
0.100 18.255 6.026
0.234 13.931 6.024
1.901 9.657 6.006
1.928 5.336 5.969
2.250 16.059 2.941
2.277 20.380 2.977
3.944 3.208 2.996
4.078 7.532 2.998
4.278 13.913 6.026
4.412 18.237 6.024
6.079 1.066 6.006
6.106 5.387 5.969
6.428 16.110 2.941
6.455 11.788 2.977
8.122 7.515 2.996
8.257 3.191 2.998
```

Largest 10 diffraction maxima, by angle, 2θ = 10–90°:
2θ/deg, d (Å), I/Imax
13.43, 6.591, 46
15.20, 5.828, 20
25.45, 3.500, 100
26.24, 3.396, 79
32.54, 2.752, 20
40.46, 2.230, 63
42.14, 2.145, 28
43.31, 2.089, 21
44.83, 2.022, 55
50.90, 1.794, 22

***

(3)
Starting from the GGA-PBE geometry in Alexandria, the powder XRD pattern of SrAl6Zn2 was computed for CuKα.

Atomic structure:
```
SrAl6Zn2
1.0
4.154 0.000 0.000
0.000 4.154 0.000
0.000 0.000 9.887
Sr Al Zn
1 6 2
Cartesian
0.000 0.000 0.000
0.000 0.000 4.944
0.000 2.077 2.982
0.000 2.077 6.905
2.077 0.000 2.982
2.077 0.000 6.905
2.077 2.077 4.944
2.077 2.077 1.310
2.077 2.077 8.577
```

Largest 10 diffraction maxima, by angle, 2θ = 10–90°:
2θ/deg, d (Å), I/Imax
28.06, 3.181, 42
30.43, 2.938, 52
31.78, 2.816, 80
34.74, 2.582, 95
35.55, 2.525, 100
41.16, 2.193, 41
42.56, 2.124, 68
43.57, 2.077, 93
56.89, 1.618, 44
62.54, 1.485, 42

***

(4)
Starting from the GGA-PBE geometry in Alexandria, the powder XRD pattern of RbTiIn was computed for CuKα.

Atomic structure:
```
RbTiIn
1.0
3.498 0.000 0.000
-0.602 4.124 0.000
-1.324 -2.087 14.452
Rb Ti In
2 2 2
Cartesian
0.000 0.002 4.941
1.573 2.036 9.511
-0.301 2.062 0.000
1.749 0.000 0.000
0.125 -0.026 12.103
1.448 2.063 2.349
```

Largest 10 diffraction maxima, by angle, 2θ = 10–90°:
2θ/deg, d (Å), I/Imax
23.46, 3.792, 50
26.55, 3.357, 100
29.98, 2.981, 33
30.20, 2.959, 39
30.64, 2.918, 56
31.24, 2.863, 35
33.61, 2.666, 47
37.33, 2.409, 53
43.90, 2.062, 37
52.88, 1.731, 27

***

(5)
Starting from the GGA-PBE geometry in Alexandria, the powder XRD pattern of K3BeH4 was computed for CuKα.

Atomic structure:
```
K3BeH4
1.0
-2.757 4.092 3.887
2.757 -4.092 3.887
2.757 4.092 -3.887
K Be H
3 1 4
Cartesian
0.000 0.000 0.000
2.757 2.361 0.036
0.000 1.730 3.923
0.000 4.092 1.092
0.000 2.852 0.291
0.000 5.331 0.291
-1.208 4.092 1.912
1.208 4.092 1.912
```

Largest 10 diffraction maxima, by angle, 2θ = 10–90°:
2θ/deg, d (Å), I/Imax
19.41, 4.573, 28
22.88, 3.887, 54
29.51, 3.027, 100
30.17, 2.962, 26
32.47, 2.757, 23
34.86, 2.574, 20
40.09, 2.249, 23
44.53, 2.035, 24
48.40, 1.880, 22
56.11, 1.639, 13

***

(6)
Starting from the GGA-PBE geometry in Alexandria, the powder XRD pattern of Sr16Li12Ca was computed for CuKα.

Atomic structure:
```
Sr16Li12Ca
1.0
6.706 -9.041 0.000
6.706 9.041 0.000
-5.473 0.000 9.869
Sr Li Ca
16 12 1
Cartesian
0.000 0.000 0.000
6.758 -3.211 7.699
2.639 3.631 0.169
2.849 3.448 6.580
0.279 0.000 6.639
6.747 2.264 0.065
2.639 -3.631 0.169
4.990 2.118 3.658
8.850 3.337 3.623
6.747 -2.264 0.065
4.374 0.000 7.446
4.990 -2.118 3.658
6.758 3.211 7.699
2.849 -3.448 6.580
11.287 0.000 3.564
8.850 -3.337 3.623
3.585 7.384 6.962
1.385 1.638 3.288
5.791 5.555 1.871
1.385 -1.638 3.288
5.816 5.696 5.114
10.175 1.714 0.610
7.884 0.000 2.474
5.791 -5.555 1.871
7.809 0.000 5.656
10.175 -1.714 0.610
5.816 -5.696 5.114
3.585 -7.384 6.962
3.695 0.000 0.504
```

Largest 10 diffraction maxima, by angle, 2θ = 10–90°:
2θ/deg, d (Å), I/Imax
16.53, 5.364, 52
16.98, 5.223, 17
24.85, 3.583, 17
25.76, 3.458, 21
27.16, 3.283, 100
28.55, 3.126, 48
29.36, 3.042, 60
29.63, 3.015, 34
30.45, 2.936, 28
49.93, 1.826, 20

***

(7)
Starting from the GGA-PBE geometry in Alexandria, the powder XRD pattern of K4Ce3AgSe8 was computed for CuKα.

Atomic structure:
```
K4Ce3AgSe8
1.0
8.507 0.000 0.000
-4.254 7.368 0.000
0.000 0.000 7.889
K Ce Ag Se
4 3 1 8
Cartesian
0.000 0.000 0.000
-2.127 3.684 0.000
4.254 0.000 0.000
2.127 3.684 0.000
-2.127 3.684 3.944
4.254 0.000 3.944
2.127 3.684 3.944
0.000 0.000 3.944
0.000 2.534 2.336
-2.060 6.101 2.336
0.000 4.912 5.574
2.194 1.267 5.553
2.059 6.101 2.336
4.254 2.456 2.315
6.313 1.267 5.553
4.254 4.834 5.553
```

Largest 10 diffraction maxima, by angle, 2θ = 10–90°:
2θ/deg, d (Å), I/Imax
11.22, 7.889, 62
24.16, 3.684, 16
26.71, 3.338, 63
33.28, 2.692, 100
42.23, 2.140, 26
42.50, 2.127, 43
44.10, 2.054, 14
52.64, 1.739, 15
55.02, 1.669, 23
71.91, 1.313, 20

***

(8)
Starting from the GGA-PBE geometry in Alexandria, the powder XRD pattern of Tb9PrHo2 was computed for CuKα.

Atomic structure:
```
Tb9PrHo2
1.0
5.044 0.000 0.000
0.000 5.044 0.000
0.000 0.000 15.137
Tb Pr Ho
9 1 2
Cartesian
0.000 0.000 0.000
0.000 0.000 5.075
0.000 0.000 10.062
0.000 2.522 2.566
0.000 2.522 7.569
0.000 2.522 12.572
2.522 0.000 2.566
2.522 0.000 7.569
2.522 0.000 12.572
2.522 2.522 0.000
2.522 2.522 5.067
2.522 2.522 10.070
```

Largest 8 diffraction maxima, by angle, 2θ = 10–90°:
2θ/deg, d (Å), I/Imax
30.70, 2.912, 100
35.59, 2.522, 51
51.22, 1.783, 36
60.91, 1.521, 43
63.93, 1.456, 12
75.37, 1.261, 6
83.54, 1.157, 18
86.23, 1.128, 17

***

(9)
Starting from the GGA-PBE geometry in Alexandria, the powder XRD pattern of Pr4Sb was computed for CuKα.

Atomic structure:
```
Pr4Sb
1.0
5.996 0.000 0.000
0.000 5.996 0.000
0.000 0.000 5.996
Pr Sb
4 1
Cartesian
0.000 0.000 0.000
0.000 2.998 2.998
2.998 0.000 2.998
2.998 2.998 0.000
2.998 2.998 2.998
```

Largest 10 diffraction maxima, by angle, 2θ = 10–90°:
2θ/deg, d (Å), I/Imax
14.77, 5.996, 17
20.95, 4.240, 15
25.73, 3.462, 81
29.80, 2.998, 100
42.65, 2.120, 75
50.48, 1.808, 39
52.89, 1.731, 27
68.17, 1.376, 16
70.19, 1.341, 34
78.08, 1.224, 25

***

(10)
Starting from the GGA-PBE geometry in Alexandria, the powder XRD pattern of In2Ni7B was computed for CuKα.

Atomic structure:
```
In2Ni7B
1.0
4.122 0.000 0.000
0.000 4.122 0.000
0.000 0.000 8.192
In Ni B
2 7 1
Cartesian
0.000 0.000 2.038
0.000 0.000 6.154
0.000 2.061 0.000
0.000 2.061 4.096
2.061 0.000 0.000
2.061 0.000 4.096
2.061 2.061 0.000
2.061 2.061 2.273
2.061 2.061 5.919
2.061 2.061 4.096
```

Largest 10 diffraction maxima, by angle, 2θ = 10–90°:
2θ/deg, d (Å), I/Imax
30.67, 2.915, 9
30.77, 2.906, 20
37.88, 2.375, 100
43.93, 2.061, 53
44.23, 2.048, 24
63.87, 1.457, 16
64.10, 1.453, 29
76.72, 1.242, 23
77.15, 1.236, 9
80.97, 1.187, 15

***

(11)
Starting from the GGA-PBE geometry in Alexandria, the powder XRD pattern of U2NiRu5 was computed for CuKα.

Atomic structure:
```
U2NiRu5
1.0
5.600 0.000 0.000
0.000 11.194 0.000
0.000 0.000 4.005
U Ni Ru
4 2 10
Cartesian
1.326 1.420 0.000
1.473 7.017 0.000
4.126 4.177 0.000
4.273 9.774 0.000
0.000 5.597 2.003
2.800 0.000 2.003
0.000 0.000 2.003
0.099 8.362 2.003
1.310 4.223 0.000
1.490 9.820 0.000
2.701 2.765 2.003
2.800 5.597 2.003
2.899 8.430 2.003
4.110 1.374 0.000
4.290 6.972 0.000
5.500 2.832 2.003
```

Largest 10 diffraction maxima, by angle, 2θ = 10–90°:
2θ/deg, d (Å), I/Imax
22.46, 3.959, 11
31.78, 2.816, 10
39.27, 2.294, 100
45.28, 2.003, 17
45.84, 1.979, 32
66.41, 1.408, 21
66.85, 1.400, 10
79.55, 1.205, 13
80.36, 1.195, 24
84.44, 1.147, 11

***

(12)
Starting from the GGA-PBE geometry in Alexandria, the powder XRD pattern of Er3CuPt was computed for CuKα.

Atomic structure:
```
Er3CuPt
1.0
3.756 0.000 0.000
0.000 6.952 0.000
0.000 0.000 9.394
Er Cu Pt
6 2 2
Cartesian
0.939 0.056 1.738
0.939 1.738 5.188
0.939 3.420 1.738
2.817 3.532 7.656
2.817 5.214 4.206
2.817 6.896 7.656
0.939 1.738 8.759
2.817 5.214 0.634
0.939 5.214 6.255
2.817 1.738 3.138
```

Largest 10 diffraction maxima, by angle, 2θ = 10–90°:
2θ/deg, d (Å), I/Imax
27.36, 3.260, 36
30.47, 2.933, 56
32.03, 2.794, 22
33.15, 2.703, 29
36.50, 2.462, 100
38.70, 2.326, 26
39.65, 2.273, 21
48.47, 1.878, 23
52.66, 1.738, 16
63.71, 1.461, 17

***

Copy entry 6 word for word.
Starting from the GGA-PBE geometry in Alexandria, the powder XRD pattern of Sr16Li12Ca was computed for CuKα.

Atomic structure:
```
Sr16Li12Ca
1.0
6.706 -9.041 0.000
6.706 9.041 0.000
-5.473 0.000 9.869
Sr Li Ca
16 12 1
Cartesian
0.000 0.000 0.000
6.758 -3.211 7.699
2.639 3.631 0.169
2.849 3.448 6.580
0.279 0.000 6.639
6.747 2.264 0.065
2.639 -3.631 0.169
4.990 2.118 3.658
8.850 3.337 3.623
6.747 -2.264 0.065
4.374 0.000 7.446
4.990 -2.118 3.658
6.758 3.211 7.699
2.849 -3.448 6.580
11.287 0.000 3.564
8.850 -3.337 3.623
3.585 7.384 6.962
1.385 1.638 3.288
5.791 5.555 1.871
1.385 -1.638 3.288
5.816 5.696 5.114
10.175 1.714 0.610
7.884 0.000 2.474
5.791 -5.555 1.871
7.809 0.000 5.656
10.175 -1.714 0.610
5.816 -5.696 5.114
3.585 -7.384 6.962
3.695 0.000 0.504
```

Largest 10 diffraction maxima, by angle, 2θ = 10–90°:
2θ/deg, d (Å), I/Imax
16.53, 5.364, 52
16.98, 5.223, 17
24.85, 3.583, 17
25.76, 3.458, 21
27.16, 3.283, 100
28.55, 3.126, 48
29.36, 3.042, 60
29.63, 3.015, 34
30.45, 2.936, 28
49.93, 1.826, 20